[1]
Calculated powder diffractogram
Compound: Nd2Mn3Sb3O14
Radiation: a wavelength of 1.5418 Å
Structure: a cell relaxed with PBE+U
Lines closer than 0.1° are merged.

Structure:
abc: 7.2733 7.2733 7.3733
angles: 119.01 119.01 61.47
Positions (direct):
Nd: 0.0000 0.5000 0.0000
Nd: 0.5000 0.0000 0.0000
Mn: 0.0000 0.0000 0.0000
Mn: 0.0000 0.0000 0.5000
Mn: 0.5000 0.5000 0.5000
Sb: 0.0000 0.5000 0.5000
Sb: 0.5000 0.0000 0.5000
Sb: 0.5000 0.5000 0.0000
O: 0.1081 0.1081 0.8607
O: 0.1729 0.5788 0.8234
O: 0.1740 0.1740 0.4297
O: 0.1750 0.5722 0.4179
O: 0.4115 0.4115 0.1500
O: 0.4212 0.8271 0.1766
O: 0.4278 0.8250 0.5821
O: 0.5722 0.1750 0.4179
O: 0.5788 0.1729 0.8234
O: 0.5885 0.5885 0.8500
O: 0.8250 0.4278 0.5821
O: 0.8260 0.8260 0.5703
O: 0.8271 0.4212 0.1766
O: 0.8919 0.8919 0.1393

Most intense lines, 2θ from 10° to 90°, in order of rising 2θ:
- 29.34°, 3.044 Å, rel. 51
- 29.62°, 3.016 Å, rel. 100
- 30.23°, 2.956 Å, rel. 46
- 34.27°, 2.617 Å, rel. 40
- 34.76°, 2.581 Å, rel. 19
- 49.02°, 1.858 Å, rel. 49
- 49.47°, 1.842 Å, rel. 16
- 50.19°, 1.818 Å, rel. 30
- 58.18°, 1.586 Å, rel. 28
- 59.21°, 1.561 Å, rel. 26

[2]
Calculated powder diffractogram
Compound: Sr3MgFe2O6
Radiation: a wavelength of 1.5418 Å
Structure: a cell relaxed with PBE+U
Lines closer than 0.1° are merged.

Structure:
abc: 3.9645 3.9951 11.5834
angles: 90.52 90.29 90.06
Positions (direct):
Sr: 0.0000 0.0000 0.0000
Sr: 0.0014 0.9969 0.7055
Sr: 0.5256 0.5207 0.4735
Mg: 0.0096 0.0110 0.2848
Fe: 0.5001 0.4988 0.8548
Fe: 0.5073 0.5087 0.1932
O: 0.0035 0.0080 0.4552
O: 0.0080 0.5002 0.8801
O: 0.0077 0.5091 0.2192
O: 0.5010 0.0092 0.8775
O: 0.5076 0.0092 0.2109
O: 0.5432 0.5529 0.6671

Most intense lines, 2θ from 10° to 90°, in order of rising 2θ:
- 23.66°, 3.761 Å, rel. 15
- 30.88°, 2.896 Å, rel. 26
- 31.80°, 2.814 Å, rel. 100
- 32.09°, 2.789 Å, rel. 36
- 32.28°, 2.773 Å, rel. 36
- 32.42°, 2.761 Å, rel. 79
- 45.41°, 1.997 Å, rel. 35
- 45.77°, 1.982 Å, rel. 31
- 57.09°, 1.613 Å, rel. 23
- 66.45°, 1.407 Å, rel. 19

[3]
Calculated powder diffractogram
Compound: Li4Si3NiO9
Radiation: a wavelength of 1.5418 Å
Structure: a cell relaxed with PBE+U
Lines closer than 0.1° are merged.

Structure:
abc: 6.2514 6.2514 9.9851
angles: 90.89 90.89 108.06
Positions (direct):
Li: 0.0000 0.0000 0.0000
Li: 0.1818 0.3875 0.7105
Li: 0.3647 0.6353 0.5000
Li: 0.4309 0.5691 0.0000
Li: 0.5295 0.1956 0.2874
Li: 0.6125 0.8182 0.2895
Li: 0.8044 0.4705 0.7126
Li: 0.9894 0.0106 0.5000
Si: 0.1085 0.3469 0.2473
Si: 0.4808 0.1375 0.5525
Si: 0.5053 0.0815 0.9939
Si: 0.6531 0.8915 0.7527
Si: 0.8625 0.5192 0.4475
Si: 0.9185 0.4947 0.0061
Ni: 0.1602 0.8247 0.7491
Ni: 0.1753 0.8398 0.2509
O: 0.0212 0.5127 0.8578
O: 0.0356 0.3192 0.0844
O: 0.0425 0.5157 0.5639
O: 0.1993 0.1489 0.2931
O: 0.2427 0.1148 0.6200
O: 0.2765 0.0395 0.9081
O: 0.3008 0.5844 0.2752
O: 0.4156 0.6992 0.7248
O: 0.4843 0.9575 0.4361
O: 0.4873 0.9788 0.1422
O: 0.5958 0.4042 0.5000
O: 0.6357 0.3643 0.0000
O: 0.6663 0.1298 0.6747
O: 0.6808 0.9644 0.9156
O: 0.8511 0.8007 0.7069
O: 0.8702 0.3337 0.3253
O: 0.8852 0.7573 0.3800
O: 0.9605 0.7235 0.0919

Most intense lines, 2θ from 10° to 90°, in order of rising 2θ:
- 14.91°, 5.942 Å, rel. 37
- 17.20°, 5.155 Å, rel. 25
- 17.53°, 5.059 Å, rel. 100
- 23.03°, 3.863 Å, rel. 37
- 23.52°, 3.782 Å, rel. 66
- 30.47°, 2.934 Å, rel. 19
- 34.51°, 2.599 Å, rel. 17
- 34.81°, 2.577 Å, rel. 51
- 35.49°, 2.529 Å, rel. 27
- 40.25°, 2.240 Å, rel. 17

[4]
Calculated powder diffractogram
Compound: NdFeC6N6O4
Radiation: a wavelength of 1.5418 Å
Structure: a cell relaxed with PBE+U
Lines closer than 0.1° are merged.

Structure:
abc: 8.0261 8.0261 13.8308
angles: 90.00 90.00 119.88
Positions (direct):
Nd: 0.1637 0.8363 0.7500
Nd: 0.8363 0.1637 0.2500
Fe: 0.5000 0.5000 0.0000
Fe: 0.5000 0.5000 0.5000
C: 0.2565 0.3571 0.0961
C: 0.2565 0.3571 0.4039
C: 0.3571 0.2565 0.5961
C: 0.3571 0.2565 0.9039
C: 0.3598 0.6402 0.5717
C: 0.3598 0.6402 0.9283
C: 0.6402 0.3598 0.0717
C: 0.6402 0.3598 0.4283
C: 0.6429 0.7435 0.0961
C: 0.6429 0.7435 0.4039
C: 0.7435 0.6429 0.5961
C: 0.7435 0.6429 0.9039
N: 0.1187 0.2845 0.1444
N: 0.1187 0.2845 0.3556
N: 0.2845 0.1187 0.6444
N: 0.2845 0.1187 0.8556
N: 0.2897 0.7103 0.6189
N: 0.2897 0.7103 0.8811
N: 0.7103 0.2897 0.1189
N: 0.7103 0.2897 0.3811
N: 0.7155 0.8813 0.1444
N: 0.7155 0.8813 0.3556
N: 0.8813 0.7155 0.6444
N: 0.8813 0.7155 0.8556
O: 0.0717 0.6750 0.2500
O: 0.1719 0.8281 0.1762
O: 0.1719 0.8281 0.3238
O: 0.3250 0.9283 0.2500
O: 0.6750 0.0717 0.7500
O: 0.8281 0.1719 0.6762
O: 0.8281 0.1719 0.8238
O: 0.9283 0.3250 0.7500

Most intense lines, 2θ from 10° to 90°, in order of rising 2θ:
- 12.80°, 6.917 Å, rel. 18
- 14.26°, 6.213 Å, rel. 66
- 18.09°, 4.904 Å, rel. 100
- 22.14°, 4.015 Å, rel. 51
- 25.65°, 3.473 Å, rel. 28
- 28.74°, 3.107 Å, rel. 19
- 32.24°, 2.776 Å, rel. 26
- 34.23°, 2.619 Å, rel. 24
- 34.73°, 2.583 Å, rel. 20
- 36.57°, 2.457 Å, rel. 20

[5]
Calculated powder diffractogram
Compound: Ba3TiFe2O8
Radiation: a wavelength of 1.5418 Å
Structure: a cell relaxed with PBE+U
Lines closer than 0.1° are merged.

Structure:
abc: 14.3138 5.7999 5.7999
angles: 119.90 90.00 90.00
Positions (direct):
Ba: 0.0840 0.1655 0.8345
Ba: 0.2500 0.5269 0.5164
Ba: 0.4160 0.1655 0.8345
Ba: 0.5840 0.8345 0.1655
Ba: 0.7500 0.5164 0.5269
Ba: 0.9160 0.8345 0.1655
Ti: 0.0000 0.5134 0.5134
Ti: 0.5000 0.5134 0.5134
Fe: 0.1490 0.8698 0.1914
Fe: 0.3510 0.8698 0.1914
Fe: 0.6490 0.1914 0.8698
Fe: 0.8510 0.1914 0.8698
O: 0.0783 0.6615 0.8380
O: 0.0788 0.1882 0.3499
O: 0.0850 0.6572 0.3328
O: 0.2500 0.9478 0.0004
O: 0.2500 0.9645 0.4653
O: 0.4150 0.6572 0.3328
O: 0.4212 0.1882 0.3499
O: 0.4217 0.6615 0.8380
O: 0.5783 0.8380 0.6615
O: 0.5788 0.3499 0.1882
O: 0.5850 0.3328 0.6572
O: 0.7500 0.0004 0.9478
O: 0.7500 0.4653 0.9645
O: 0.9150 0.3328 0.6572
O: 0.9212 0.3499 0.1882
O: 0.9217 0.8380 0.6615

Most intense lines, 2θ from 10° to 90°, in order of rising 2θ:
- 21.61°, 4.112 Å, rel. 21
- 25.75°, 3.460 Å, rel. 36
- 30.67°, 2.915 Å, rel. 58
- 30.82°, 2.901 Å, rel. 100
- 36.11°, 2.487 Å, rel. 18
- 37.95°, 2.371 Å, rel. 15
- 40.58°, 2.223 Å, rel. 28
- 44.04°, 2.056 Å, rel. 32
- 54.71°, 1.678 Å, rel. 23
- 54.80°, 1.675 Å, rel. 19

[6]
Calculated powder diffractogram
Compound: TiFe2O4
Radiation: a wavelength of 1.5418 Å
Structure: a cell relaxed with PBE+U
Lines closer than 0.1° are merged.

Structure:
abc: 6.1120 6.1120 10.4189
angles: 105.06 105.06 60.99
Positions (direct):
Ti: 0.0000 0.0000 0.0000
Ti: 0.0000 0.0000 0.5000
Ti: 0.2622 0.7378 0.7500
Ti: 0.7378 0.2622 0.2500
Fe: 0.0000 0.5000 0.5000
Fe: 0.0648 0.5661 0.1916
Fe: 0.4339 0.9352 0.3084
Fe: 0.5000 0.0000 0.0000
Fe: 0.5000 0.5000 0.0000
Fe: 0.5000 0.5000 0.5000
Fe: 0.5661 0.0648 0.6916
Fe: 0.9352 0.4339 0.8084
O: 0.0947 0.1227 0.3758
O: 0.1130 0.6652 0.8764
O: 0.1227 0.0947 0.8758
O: 0.1312 0.6516 0.3961
O: 0.3348 0.8870 0.6236
O: 0.3472 0.4191 0.6402
O: 0.3484 0.8688 0.1039
O: 0.4191 0.3472 0.1402
O: 0.5809 0.6528 0.8598
O: 0.6516 0.1312 0.8961
O: 0.6528 0.5809 0.3598
O: 0.6652 0.1130 0.3764
O: 0.8688 0.3484 0.6039
O: 0.8773 0.9053 0.1242
O: 0.8870 0.3348 0.1236
O: 0.9053 0.8773 0.6242

Most intense lines, 2θ from 10° to 90°, in order of rising 2θ:
- 28.81°, 3.099 Å, rel. 32
- 29.49°, 3.029 Å, rel. 34
- 33.97°, 2.639 Å, rel. 100
- 34.13°, 2.627 Å, rel. 85
- 34.98°, 2.565 Å, rel. 47
- 41.20°, 2.191 Å, rel. 35
- 54.39°, 1.687 Å, rel. 30
- 54.57°, 1.682 Å, rel. 31
- 60.64°, 1.527 Å, rel. 42
- 61.19°, 1.515 Å, rel. 41